No. 1
Starting from a crystal structure in Alexandria, relaxed with GGA-PBE, the powder XRD pattern of CaMg8Ag4 was computed for Cu Kα.

Crystal structure
Lattice parameters (Å, degrees): 9.8863 9.8863 5.7027 90.00 90.00 90.00
Space group I4/mmm (No. 139)
One atom of each set of equivalent atoms:
Ca: 0.0000 0.0000 0.0000 x2
Mg: 0.0000 0.2168 0.5000 x8
Mg: 0.0000 0.3440 0.0000 x8
Ag: 0.2500 0.2500 0.2500 x8

Top 12 peaks for 10 to 80 degrees two-theta, low angle first:
h k l, 2θ/deg, Rel. int.
2 0 0, 17.94, 80
2 2 0, 25.48, 34
0 0 2, 31.36, 8
4 0 0, 36.36, 100
2 2 2, 40.83, 76
4 0 2, 48.76, 8
4 4 0, 52.36, 32
6 2 0, 59.11, 12
4 4 2, 62.31, 8
0 0 4, 65.43, 19
6 2 2, 68.45, 20
4 0 4, 77.22, 22


No. 2
Starting from a crystal structure in Alexandria, relaxed with GGA-PBE, the powder XRD pattern of K4BeFe was computed for Cu Kα.

Crystal structure
Lattice parameters (Å, degrees): 10.2830 10.2830 10.2830 90.00 90.00 90.00
Space group F-43m (No. 216)
One atom of each set of equivalent atoms:
K: 0.1251 0.1251 0.1251 x16
Be: 0.2500 0.2500 0.7500 x4
Fe: 0.0000 0.0000 0.5000 x4

Top 12 peaks for 10 to 80 degrees two-theta, low angle first:
h k l, 2θ/deg, Rel. int.
1 1 1, 14.92, 25
2 0 0, 17.25, 13
2 2 0, 24.48, 19
3 1 1, 28.79, 100
2 2 2, 30.10, 49
4 0 0, 34.90, 8
4 2 2, 43.10, 7
3 3 3, 45.85, 33
4 4 0, 50.19, 27
5 3 3, 58.89, 11
6 2 2, 59.64, 17
7 3 1, 70.32, 18


No. 3
Starting from a crystal structure in Alexandria, relaxed with GGA-PBE, the powder XRD pattern of PmHoBe2Si2 was computed for Cu Kα.

Crystal structure
Lattice parameters (Å, degrees): 3.8962 3.8962 8.2065 90.00 90.00 120.00
Space group P-3m1 (No. 164)
One atom of each set of equivalent atoms:
Pm: 0.0000 0.0000 0.0000 x1
Ho: 0.0000 0.0000 0.5000 x1
Be: 0.3333 0.6667 0.7424 x2
Si: 0.3333 0.6667 0.2580 x2

Top 12 peaks for 10 to 80 degrees two-theta, low angle first:
h k l, 2θ/deg, Rel. int.
0 0 2, 21.66, 25
1 0 0, 26.41, 62
1 0 2, 34.41, 100
0 0 4, 44.14, 10
1 1 0, 46.62, 26
1 1 2, 51.96, 16
0 1 4, 52.18, 20
2 0 0, 54.38, 9
0 2 2, 59.22, 21
1 1 4, 66.15, 18
1 0 6, 74.92, 10
2 1 2, 78.55, 18


No. 4
Starting from a crystal structure in Alexandria, relaxed with GGA-PBE, the powder XRD pattern of LaYErTe3 was computed for Cu Kα.

Crystal structure
Lattice parameters (Å, degrees): 8.5967 4.3359 10.8636 90.00 106.50 90.00
Space group P2_1/m (No. 11)
One atom of each set of equivalent atoms:
La: 0.1852 0.2500 0.2198 x2
Y: 0.1533 0.2500 0.6230 x2
Er: 0.3367 0.7500 0.9045 x2
Te: 0.0941 0.2500 0.8956 x2
Te: 0.2278 0.7500 0.4537 x2
Te: 0.4803 0.7500 0.1980 x2

Top 12 peaks for 10 to 80 degrees two-theta, low angle first:
h k l, 2θ/deg, Rel. int.
0 0 3, 25.66, 29
1 1 -2, 26.98, 31
2 1 -1, 29.36, 100
2 1 0, 29.91, 99
1 0 3, 30.68, 62
2 1 -2, 31.29, 43
1 1 -3, 32.41, 74
1 0 -4, 33.01, 42
2 1 2, 37.66, 54
1 0 4, 39.14, 25
3 1 -3, 41.28, 36
0 2 0, 41.66, 63


No. 5
Starting from a crystal structure in Alexandria, relaxed with GGA-PBE, the powder XRD pattern of Ac2In5Hg3 was computed for Cu Kα.

Crystal structure
Lattice parameters (Å, degrees): 12.1351 13.6726 6.8270 90.00 90.00 90.00
Space group Ibam (No. 72)
One atom of each set of equivalent atoms:
Ac: 0.2414 0.1240 0.0000 x8
In: 0.0000 0.2599 0.2500 x8
In: 0.0000 0.5000 0.2500 x4
In: 0.1304 0.1273 0.5000 x8
Hg: 0.0000 0.0000 0.2500 x4
Hg: 0.1433 0.3802 0.0000 x8

Top 12 peaks for 10 to 80 degrees two-theta, low angle first:
h k l, 2θ/deg, Rel. int.
0 4 0, 26.09, 16
3 2 1, 28.79, 53
2 0 2, 30.02, 100
0 4 2, 37.23, 62
4 0 2, 39.74, 21
5 2 1, 41.65, 35
3 2 3, 47.73, 27
0 0 4, 53.67, 21
5 2 3, 57.08, 28
2 4 4, 62.72, 24
5 6 3, 70.14, 8
8 4 2, 73.76, 13


No. 6
Starting from a crystal structure in Alexandria, relaxed with GGA-PBE, the powder XRD pattern of RbCaLaO3 was computed for Cu Kα.

Crystal structure
Lattice parameters (Å, degrees): 7.8394 3.6867 10.1183 90.00 91.85 90.00
Space group P2_1/m (No. 11)
One atom of each set of equivalent atoms:
Rb: 0.1331 0.2500 0.2108 x2
Ca: 0.1505 0.2500 0.5619 x2
La: 0.3937 0.7500 0.8650 x2
O: 0.1401 0.7500 0.4386 x2
O: 0.2341 0.2500 0.7833 x2
O: 0.3973 0.7500 0.0900 x2

Top 12 peaks for 10 to 80 degrees two-theta, low angle first:
h k l, 2θ/deg, Rel. int.
1 0 -1, 14.07, 93
1 0 1, 14.52, 38
2 0 -1, 24.10, 65
0 1 1, 25.72, 53
0 0 3, 26.44, 58
2 0 -2, 28.34, 58
2 0 2, 29.28, 27
0 1 2, 30.00, 74
2 1 0, 33.37, 100
2 1 -3, 42.58, 30
4 0 -3, 53.30, 27
2 2 -1, 55.69, 33


No. 7
Starting from a crystal structure in Alexandria, relaxed with GGA-PBE, the powder XRD pattern of PrY2Hg5 was computed for Cu Kα.

Crystal structure
Lattice parameters (Å, degrees): 5.2757 5.2757 14.7517 90.00 90.00 90.00
Space group I4/mmm (No. 139)
One atom of each set of equivalent atoms:
Pr: 0.0000 0.0000 0.0000 x2
Y: 0.0000 0.0000 0.2673 x4
Hg: 0.0000 0.0000 0.5000 x2
Hg: 0.0000 0.5000 0.1284 x8

Top 12 peaks for 10 to 80 degrees two-theta, low angle first:
h k l, 2θ/deg, Rel. int.
1 1 0, 23.85, 5
0 0 4, 24.13, 3
1 1 2, 26.78, 4
2 0 0, 33.99, 52
1 1 4, 34.19, 100
2 0 4, 42.12, 3
2 2 0, 48.83, 19
0 0 8, 49.43, 9
3 1 4, 60.95, 38
2 0 8, 61.34, 17
4 0 0, 71.54, 6
2 2 8, 72.02, 11


No. 8
Starting from a crystal structure in Alexandria, relaxed with GGA-PBE, the powder XRD pattern of AcTbNd4Er2 was computed for Cu Kα.

Crystal structure
Lattice parameters (Å, degrees): 5.1624 5.2023 10.3334 90.00 90.00 90.00
Space group Pmmm (No. 47)
One atom of each set of equivalent atoms:
Ac: 0.0000 0.0000 0.0000 x1
Tb: 0.5000 0.5000 0.5000 x1
Nd: 0.0000 0.5000 0.2571 x2
Nd: 0.5000 0.0000 0.2583 x2
Er: 0.0000 0.0000 0.5000 x1
Er: 0.5000 0.5000 0.0000 x1

Top 12 peaks for 10 to 80 degrees two-theta, low angle first:
h k l, 2θ/deg, Rel. int.
1 1 0, 24.30, 1
0 0 3, 25.82, 1
1 1 2, 29.89, 100
0 2 0, 34.48, 17
2 0 0, 34.74, 34
2 2 0, 49.75, 24
2 0 4, 49.95, 12
1 3 2, 58.96, 15
3 1 2, 59.31, 29
2 2 4, 62.11, 12
0 4 0, 72.70, 2
4 0 0, 73.32, 4


No. 9
Starting from a crystal structure in Alexandria, relaxed with GGA-PBE, the powder XRD pattern of Rb4Au was computed for Cu Kα.

Crystal structure
Lattice parameters (Å, degrees): 9.0112 17.6318 8.1827 90.00 90.00 90.00
Space group Ibam (No. 72)
One atom of each set of equivalent atoms:
Rb: 0.1440 0.1590 0.0000 x8
Rb: 0.2025 0.4256 0.0000 x8
Au: 0.0000 0.0000 0.2500 x4

Top 12 peaks for 10 to 80 degrees two-theta, low angle first:
h k l, 2θ/deg, Rel. int.
0 2 0, 10.03, 73
1 1 0, 11.03, 100
2 1 1, 23.09, 32
1 1 2, 24.42, 26
1 4 1, 24.98, 52
1 5 0, 27.17, 30
1 3 2, 28.35, 72
2 0 2, 29.49, 36
0 4 2, 29.79, 31
2 2 2, 31.22, 30
3 3 0, 33.50, 25
3 5 2, 45.45, 21


No. 10
Starting from a crystal structure in Alexandria, relaxed with GGA-PBE, the powder XRD pattern of La15Pr4Tm was computed for Cu Kα.

Crystal structure
Lattice parameters (Å, degrees): 5.2432 5.2432 26.3268 90.00 90.00 90.00
Space group P4/mmm (No. 123)
One atom of each set of equivalent atoms:
La: 0.0000 0.0000 0.0000 x1
La: 0.0000 0.0000 0.1987 x2
La: 0.0000 0.0000 0.3996 x2
La: 0.0000 0.5000 0.0982 x4
La: 0.0000 0.5000 0.2987 x4
La: 0.0000 0.5000 0.5000 x2
Pr: 0.5000 0.5000 0.1985 x2
Pr: 0.5000 0.5000 0.3994 x2
Tm: 0.5000 0.5000 0.0000 x1

Top 12 peaks for 10 to 80 degrees two-theta, low angle first:
h k l, 2θ/deg, Rel. int.
1 1 5, 29.47, 100
0 0 10, 34.05, 17
2 0 0, 34.20, 34
2 0 10, 49.04, 24
2 2 0, 49.15, 12
1 1 15, 58.15, 14
3 1 5, 58.35, 29
2 2 10, 61.14, 12
0 0 20, 71.70, 2
4 0 0, 72.05, 4
3 1 15, 79.53, 12
3 3 5, 79.70, 6


No. 11
Starting from a crystal structure in Alexandria, relaxed with GGA-PBE, the powder XRD pattern of PmPr6Dy2 was computed for Cu Kα.

Crystal structure
Lattice parameters (Å, degrees): 10.9963 10.9963 5.2038 90.00 90.00 90.00
Space group P4_2/mnm (No. 136)
One atom of each set of equivalent atoms:
Pm: 0.0000 0.0000 0.0000 x2
Pr: 0.0010 0.3316 0.0000 x8
Pr: 0.1655 0.1655 0.5000 x4
Dy: 0.1668 0.8332 0.5000 x4

Top 10 peaks for 10 to 80 degrees two-theta, low angle first:
h k l, 2θ/deg, Rel. int.
3 0 1, 29.81, 100
0 0 2, 34.47, 17
3 3 0, 34.61, 34
3 3 2, 49.65, 24
6 0 0, 49.75, 12
3 0 3, 58.90, 15
6 3 1, 59.09, 29
6 0 2, 61.93, 12
0 0 4, 72.68, 2
6 6 0, 73.01, 4


No. 12
Starting from a crystal structure in Alexandria, relaxed with GGA-PBE, the powder XRD pattern of Sc6P2PtSe3 was computed for Cu Kα.

Crystal structure
Lattice parameters (Å, degrees): 16.8130 3.8002 7.7424 90.00 103.60 90.00
Space group C2/m (No. 12)
One atom of each set of equivalent atoms:
Sc: 0.0059 0.0000 0.2449 x4
Sc: 0.1670 0.5000 0.1006 x4
Sc: 0.1728 0.5000 0.5716 x4
P: 0.1673 0.0000 0.3357 x4
Pt: 0.0000 0.5000 0.0000 x2
Se: 0.0000 0.5000 0.5000 x2
Se: 0.1667 0.0000 0.8324 x4

Top 12 peaks for 10 to 80 degrees two-theta, low angle first:
h k l, 2θ/deg, Rel. int.
2 0 0, 10.83, 25
0 0 1, 11.76, 21
3 1 0, 28.64, 12
6 0 0, 32.88, 51
1 1 -2, 33.03, 100
2 0 -4, 46.94, 17
7 1 -2, 47.21, 34
5 1 2, 47.39, 35
0 2 0, 47.87, 17
6 2 0, 59.30, 17
2 2 -4, 69.30, 10
11 1 2, 78.74, 14


Number 9 is which compound?
Rb4Au